[1]
Structure and calculated powder XRD pattern of Ho2InCuNi (a cell relaxed with PBE; Cu Ka).

Principal peaks in the range 2θ from 10° to 90°, sorted by position:
Position (°2θ)	I/Imax
29.23	44
33.89	100
35.22	73
38.44	37
38.83	36
58.77	33

a = 3.646 Å, b = 7.399 Å, c = 7.399 Å
α = 31.30°, β = 90.00°, γ = 90.00°
Atoms (fractional coordinates):
Ho: 0.000 0.000 0.000
Ho: 0.000 0.275 0.275
In: 0.500 0.640 0.640
Cu: 0.500 0.437 0.437
Ni: 0.500 0.839 0.839

[2]
Structure and calculated powder XRD pattern of Ho3In3Cu2Ni (a cell relaxed with PBE; Cu Ka).

Principal peaks in the range 2θ from 10° to 90°, sorted by position:
Position (°2θ)	I/Imax
33.40	100
36.26	67
36.83	50
41.98	24
61.19	22
67.75	23

a = 7.456 Å, b = 7.456 Å, c = 3.864 Å
α = 90.00°, β = 90.00°, γ = 120.00°
Atoms (fractional coordinates):
Ho: 0.000 0.593 0.000
Ho: 0.407 0.407 0.000
Ho: 0.593 0.000 0.000
In: 0.000 0.253 0.500
In: 0.253 0.000 0.500
In: 0.747 0.747 0.500
Cu: 0.333 0.667 0.500
Cu: 0.667 0.333 0.500
Ni: 0.000 0.000 0.000

[3]
Structure and calculated powder XRD pattern of Ho2TmIn3CuPd2 (a cell relaxed with PBE; Cu Ka).

Principal peaks in the range 2θ from 10° to 90°, sorted by position:
Position (°2θ)	I/Imax
33.17	77
35.95	100
41.00	22
47.54	16
61.03	18
66.36	20

a = 3.825 Å, b = 7.623 Å, c = 7.623 Å
α = 119.92°, β = 90.00°, γ = 90.00°
Atoms (fractional coordinates):
Ho: 0.000 0.205 0.795
Ho: 0.000 0.795 0.205
Tm: 0.000 0.386 0.386
In: 0.500 0.048 0.048
In: 0.500 0.543 0.795
In: 0.500 0.795 0.543
Cu: 0.000 0.795 0.795
Pd: 0.500 0.130 0.461
Pd: 0.500 0.461 0.130

[4]
Structure and calculated powder XRD pattern of Ho4InCu2Si4 (a cell relaxed with PBE; Cu Ka).

Principal peaks in the range 2θ from 10° to 90°, sorted by position:
Position (°2θ)	I/Imax
33.48	41
33.90	70
34.86	90
36.64	100
37.81	45
43.19	53

a = 7.916 Å, b = 7.916 Å, c = 6.991 Å
α = 108.06°, β = 108.06°, γ = 30.69°
Atoms (fractional coordinates):
Ho: 0.089 0.089 0.384
Ho: 0.153 0.153 0.931
Ho: 0.847 0.847 0.069
Ho: 0.911 0.911 0.616
In: 0.500 0.500 0.000
Cu: 0.283 0.283 0.364
Cu: 0.717 0.717 0.636
Si: 0.300 0.300 0.745
Si: 0.439 0.439 0.345
Si: 0.561 0.561 0.655
Si: 0.700 0.700 0.255

Please write out number 2 again, unchanged.
Structure and calculated powder XRD pattern of Ho3In3Cu2Ni (a cell relaxed with PBE; Cu Ka).

Principal peaks in the range 2θ from 10° to 90°, sorted by position:
Position (°2θ)	I/Imax
33.40	100
36.26	67
36.83	50
41.98	24
61.19	22
67.75	23

a = 7.456 Å, b = 7.456 Å, c = 3.864 Å
α = 90.00°, β = 90.00°, γ = 120.00°
Atoms (fractional coordinates):
Ho: 0.000 0.593 0.000
Ho: 0.407 0.407 0.000
Ho: 0.593 0.000 0.000
In: 0.000 0.253 0.500
In: 0.253 0.000 0.500
In: 0.747 0.747 0.500
Cu: 0.333 0.667 0.500
Cu: 0.667 0.333 0.500
Ni: 0.000 0.000 0.000

Q: Which formula does entry 2 have?
A: Ho3In3Cu2Ni